# Na4TiAs2O9
Theoretical powder X-ray diffraction pattern, Cu Kα. Input: a crystal structure in Alexandria, relaxed with PBE.
Peak positions follow from Bragg's law for the DFT cell and can differ from measured ones.

Main lines, sorted by position (2θ = 10–90°):
| index | two_theta | I_rel |
| --- | --- | --- |
| 1 1 -1 | 17.5 | 100.0 |
| 3 1 1 | 23.5 | 55.5 |
| 4 0 2 | 31.8 | 85.7 |
| 4 2 0 | 33.2 | 71.5 |
| 0 2 2 | 33.6 | 73.2 |
| 4 2 4 | 58.0 | 38.4 |

Crystal structure
Cell lengths 16.092, 7.266, 7.872 Å; angles 90.00, 90.13, 90.00 degrees
Space group C2/m (No. 12)
One atom of each set of equivalent atoms:
Na (0.000, 0.247, 0.000) [4 per cell]
Na (0.108, 0.500, 0.240) [4 per cell]
Na (0.126, 0.000, 0.721) [4 per cell]
Na (0.250, 0.250, 0.500) [4 per cell]
Ti (0.250, 0.250, 0.000) [4 per cell]
As (0.112, 0.000, 0.240) [4 per cell]
As (0.130, 0.500, 0.723) [4 per cell]
O (0.007, 0.000, 0.214) [4 per cell]
O (0.034, 0.500, 0.814) [4 per cell]
O (0.143, 0.500, 0.510) [4 per cell]
O (0.144, 0.198, 0.130) [8 per cell]
O (0.155, 0.000, 0.437) [4 per cell]
O (0.182, 0.300, 0.790) [8 per cell]
O (0.242, 0.500, 0.069) [4 per cell]